No. 1
Starting from a PBE-relaxed structure, the powder diffraction line list of ErSiSe was computed for Cu Kα, 1.54184 Å.
Neutral-atom scattering factors, no anomalous dispersion.

Largest 10 diffraction maxima, in order of rising 2θ, 2θ from 10° to 90°:
2θ = 19.57°, I = 60.5
2θ = 24.16°, I = 58.3
2θ = 33.69°, I = 100.0
2θ = 34.33°, I = 72.4
2θ = 35.16°, I = 49.8
2θ = 39.26°, I = 92.0
2θ = 42.34°, I = 89.8
2θ = 48.39°, I = 57.5
2θ = 61.36°, I = 42.0
2θ = 66.22°, I = 47.8

Structure:
a = 3.7619 Å, b = 3.7619 Å, c = 18.1482 Å
α = 90.00°, β = 90.00°, γ = 90.00°
Sites, in units of the cell vectors:
Er: 0.0000 0.0000 0.1386
Er: 0.0000 0.0000 0.8614
Er: 0.5000 0.5000 0.3614
Er: 0.5000 0.5000 0.6386
Si: 0.0000 0.5000 0.0000
Si: 0.0000 0.5000 0.5000
Si: 0.5000 0.0000 0.0000
Si: 0.5000 0.0000 0.5000
Se: 0.0000 0.0000 0.3107
Se: 0.0000 0.0000 0.6893
Se: 0.5000 0.5000 0.1893
Se: 0.5000 0.5000 0.8107

***

No. 2
Starting from a PBE-relaxed structure, the powder diffraction line list of Er4SiSe3 was computed for Cu Kα, 1.54184 Å.
Neutral-atom scattering factors, no anomalous dispersion.

Largest 10 diffraction maxima, in order of rising 2θ, 2θ from 10° to 90°:
2θ = 26.82°, I = 25.1
2θ = 26.97°, I = 8.4
2θ = 31.11°, I = 100.0
2θ = 44.47°, I = 36.2
2θ = 44.67°, I = 36.4
2θ = 52.73°, I = 8.6
2θ = 55.26°, I = 18.7
2θ = 64.82°, I = 7.5
2θ = 73.50°, I = 10.0
2θ = 73.78°, I = 10.3

Structure:
a = 7.0534 Å, b = 8.1530 Å, c = 7.0134 Å
α = 90.00°, β = 109.48°, γ = 90.00°
Sites, in units of the cell vectors:
Er: 0.2362 0.1170 0.0012
Er: 0.2362 0.8830 0.5012
Er: 0.2402 0.3613 0.4879
Er: 0.2402 0.6387 0.9879
Er: 0.7598 0.3613 0.0121
Er: 0.7598 0.6387 0.5121
Er: 0.7638 0.1170 0.4988
Er: 0.7638 0.8830 0.9988
Si: 0.0000 0.1238 0.2500
Si: 0.0000 0.8762 0.7500
Se: 0.0000 0.3782 0.7500
Se: 0.0000 0.6218 0.2500
Se: 0.5000 0.1277 0.7500
Se: 0.5000 0.3802 0.2500
Se: 0.5000 0.6198 0.7500
Se: 0.5000 0.8723 0.2500

***

No. 3
Starting from a PBE-relaxed structure, the powder diffraction line list of Sm3Er2Se6 was computed for Cu Kα, 1.54184 Å.
Neutral-atom scattering factors, no anomalous dispersion.

Largest 10 diffraction maxima, in order of rising 2θ, 2θ from 10° to 90°:
2θ = 29.61°, I = 100.0
2θ = 32.22°, I = 22.8
2θ = 40.89°, I = 17.6
2θ = 43.80°, I = 44.9
2θ = 44.61°, I = 26.5
2θ = 53.76°, I = 18.7
2θ = 64.31°, I = 8.9
2θ = 71.54°, I = 17.4
2θ = 71.77°, I = 15.7
2θ = 81.06°, I = 9.5

Structure:
a = 20.6933 Å, b = 20.6933 Å, c = 20.6933 Å
α = 11.46°, β = 11.46°, γ = 11.46°
Sites, in units of the cell vectors:
Sm: 0.0000 0.0000 0.0000
Sm: 0.2783 0.2783 0.2783
Sm: 0.7217 0.7217 0.7217
Er: 0.4474 0.4474 0.4474
Er: 0.5526 0.5526 0.5526
Se: 0.0845 0.0845 0.0845
Se: 0.1972 0.1972 0.1972
Se: 0.3612 0.3612 0.3612
Se: 0.6388 0.6388 0.6388
Se: 0.8028 0.8028 0.8028
Se: 0.9155 0.9155 0.9155